No. 1
# Cs2CaBr4
Theoretical powder X-ray diffraction pattern, copper Kα. Input: a DFT-relaxed cell (PBE, the Materials Project).
No peak broadening, texture or thermal motion is included.

Structure:
a = 5.745 Å, b = 5.745 Å, c = 18.211 Å
α = 90.00°, β = 90.00°, γ = 90.00°
Fractional coordinates of all 14 atoms:
Cs1 0.000 0.000 0.143
Cs2 0.000 0.000 0.857
Cs3 0.500 0.500 0.357
Cs4 0.500 0.500 0.643
Ca1 0.000 0.000 0.500
Ca2 0.500 0.500 0.000
Br1 0.000 0.000 0.340
Br2 0.000 0.000 0.660
Br3 0.000 0.500 0.000
Br4 0.000 0.500 0.500
Br5 0.500 0.000 0.000
Br6 0.500 0.000 0.500
Br7 0.500 0.500 0.160
Br8 0.500 0.500 0.840

Largest 10 diffraction maxima, sorted by position, 10° ≤ 2θ ≤ 80°:
2θ (°)  Rel. int.
21.9  34
24.0  37
29.5  100
31.1  61
43.4  33
44.6  22
51.2  18
54.4  43
55.3  14
72.9  13


No. 2
# FeH
Theoretical powder X-ray diffraction pattern, copper Kα. Input: a DFT-relaxed cell (PBE, the Materials Project).
No peak broadening, texture or thermal motion is included.

Structure:
a = 3.761 Å, b = 3.761 Å, c = 3.761 Å
α = 90.00°, β = 90.00°, γ = 90.00°
Fractional coordinates of all 8 atoms:
Fe1 0.000 0.000 0.000
Fe2 0.000 0.500 0.500
Fe3 0.500 0.000 0.500
Fe4 0.500 0.500 0.000
H1 0.000 0.000 0.500
H2 0.000 0.500 0.000
H3 0.500 0.000 0.000
H4 0.500 0.500 0.500

Largest 3 diffraction maxima, sorted by position, 10° ≤ 2θ ≤ 80°:
2θ (°)  Rel. int.
41.6  100
48.4  50
70.9  29


No. 3
# Cs2Te10Mo9
Theoretical powder X-ray diffraction pattern, copper Kα. Input: a DFT-relaxed cell (PBE, the Materials Project).
No peak broadening, texture or thermal motion is included.

Structure:
a = 14.545 Å, b = 14.545 Å, c = 14.545 Å
α = 42.11°, β = 42.11°, γ = 42.11°
Fractional coordinates of all 42 atoms:
Cs1 0.076 0.076 0.076
Cs2 0.199 0.199 0.199
Cs3 0.801 0.801 0.801
Cs4 0.924 0.924 0.924
Te1 0.063 0.685 0.322
Te2 0.087 0.445 0.703
Te3 0.180 0.802 0.432
Te4 0.198 0.568 0.820
Te5 0.297 0.297 0.297
Te6 0.297 0.913 0.555
Te7 0.315 0.678 0.937
Te8 0.322 0.063 0.685
Te9 0.432 0.180 0.802
Te10 0.445 0.703 0.087
Te11 0.555 0.297 0.913
Te12 0.568 0.820 0.198
Te13 0.678 0.937 0.315
Te14 0.685 0.322 0.063
Te15 0.703 0.087 0.445
Te16 0.703 0.703 0.703
Te17 0.802 0.432 0.180
Te18 0.820 0.198 0.568
Te19 0.913 0.555 0.297
Te20 0.937 0.315 0.678
Mo1 0.199 0.372 0.491
Mo2 0.271 0.568 0.398
Mo3 0.315 0.488 0.608
Mo4 0.372 0.491 0.199
Mo5 0.392 0.685 0.512
Mo6 0.398 0.271 0.568
Mo7 0.432 0.602 0.729
Mo8 0.488 0.608 0.315
Mo9 0.491 0.199 0.372
Mo10 0.509 0.801 0.628
Mo11 0.512 0.392 0.685
Mo12 0.568 0.398 0.271
Mo13 0.602 0.729 0.432
Mo14 0.608 0.315 0.488
Mo15 0.628 0.509 0.801
Mo16 0.685 0.512 0.392
Mo17 0.729 0.432 0.602
Mo18 0.801 0.628 0.509

Largest 10 diffraction maxima, sorted by position, 10° ≤ 2θ ≤ 80°:
2θ (°)  Rel. int.
10.0  100
26.4  57
26.7  13
29.6  40
31.8  12
35.8  14
40.1  64
40.9  21
47.5  23
51.3  13


No. 4
# MgAl
Theoretical powder X-ray diffraction pattern, copper Kα. Input: a DFT-relaxed cell (PBE, the Materials Project).
No peak broadening, texture or thermal motion is included.

Structure:
a = 5.752 Å, b = 5.752 Å, c = 5.752 Å
α = 90.00°, β = 90.00°, γ = 90.00°
Fractional coordinates of all 8 atoms:
Mg1 0.000 0.000 0.000
Mg2 0.000 0.500 0.500
Mg3 0.500 0.000 0.500
Mg4 0.500 0.500 0.000
Al1 0.000 0.000 0.500
Al2 0.000 0.500 0.000
Al3 0.500 0.000 0.000
Al4 0.500 0.500 0.500

Largest 5 diffraction maxima, sorted by position, 10° ≤ 2θ ≤ 80°:
2θ (°)  Rel. int.
31.1  100
44.6  71
55.3  24
64.8  11
73.7  30


No. 5
# CaSbPd
Theoretical powder X-ray diffraction pattern, copper Kα. Input: a DFT-relaxed cell (PBE, the Materials Project).
No peak broadening, texture or thermal motion is included.

Structure:
a = 7.405 Å, b = 4.681 Å, c = 7.978 Å
α = 90.00°, β = 90.00°, γ = 90.00°
Fractional coordinates of all 12 atoms:
Ca1 0.005 0.250 0.203
Ca2 0.495 0.750 0.703
Ca3 0.505 0.250 0.297
Ca4 0.995 0.750 0.797
Sb1 0.199 0.250 0.594
Sb2 0.301 0.750 0.094
Sb3 0.699 0.250 0.906
Sb4 0.801 0.750 0.406
Pd1 0.184 0.750 0.421
Pd2 0.316 0.250 0.921
Pd3 0.684 0.750 0.079
Pd4 0.816 0.250 0.579

Largest 10 diffraction maxima, sorted by position, 10° ≤ 2θ ≤ 80°:
2θ (°)  Rel. int.
16.3  46
22.0  42
24.0  45
31.9  50
32.8  85
38.2  57
38.5  60
39.0  100
46.3  39
47.5  42


No. 6
# Br
Theoretical powder X-ray diffraction pattern, copper Kα. Input: a DFT-relaxed cell (PBE, the Materials Project).
No peak broadening, texture or thermal motion is included.

Structure:
a = 3.761 Å, b = 3.761 Å, c = 3.761 Å
α = 90.00°, β = 90.00°, γ = 90.00°
Fractional coordinates of all 2 atoms:
Br1 0.000 0.000 0.000
Br2 0.500 0.500 0.500

Largest 4 diffraction maxima, sorted by position, 10° ≤ 2θ ≤ 80°:
2θ (°)  Rel. int.
33.7  100
48.4  18
60.3  36
70.9  11


No. 7
# MgSi2
Theoretical powder X-ray diffraction pattern, copper Kα. Input: a DFT-relaxed cell (PBE, the Materials Project).
No peak broadening, texture or thermal motion is included.

Structure:
a = 3.828 Å, b = 6.408 Å, c = 9.250 Å
α = 76.70°, β = 89.03°, γ = 89.54°
Fractional coordinates of all 12 atoms:
Mg1 0.244 0.004 0.352
Mg2 0.256 0.208 0.874
Mg3 0.744 0.792 0.126
Mg4 0.756 0.996 0.648
Si1 0.236 0.569 0.344
Si2 0.245 0.450 0.101
Si3 0.254 0.794 0.869
Si4 0.262 0.670 0.609
Si5 0.738 0.330 0.391
Si6 0.746 0.206 0.131
Si7 0.755 0.550 0.899
Si8 0.764 0.431 0.656

Largest 10 diffraction maxima, sorted by position, 10° ≤ 2θ ≤ 80°:
2θ (°)  Rel. int.
14.2  35
30.3  17
36.5  40
40.1  56
40.3  100
43.4  30
44.0  29
47.1  22
47.5  43
64.4  15


No. 8
# Rb2Be2CuO6F8
Theoretical powder X-ray diffraction pattern, copper Kα. Input: a DFT-relaxed cell (PBE, the Materials Project).
No peak broadening, texture or thermal motion is included.

Structure:
a = 6.177 Å, b = 11.680 Å, c = 8.446 Å
α = 90.00°, β = 102.86°, γ = 90.00°
Fractional coordinates of all 38 atoms:
Rb1 0.161 0.144 0.393
Rb2 0.161 0.356 0.893
Rb3 0.839 0.644 0.107
Rb4 0.839 0.856 0.607
Be1 0.254 0.657 0.895
Be2 0.254 0.843 0.395
Be3 0.746 0.157 0.605
Be4 0.746 0.343 0.105
Cu1 0.500 0.000 0.000
Cu2 0.500 0.500 0.500
O1 0.169 0.572 0.506
O2 0.169 0.928 0.006
O3 0.341 0.104 0.862
O4 0.341 0.396 0.362
O5 0.412 0.116 0.115
O6 0.412 0.384 0.615
O7 0.588 0.616 0.385
O8 0.588 0.884 0.885
O9 0.659 0.604 0.638
O10 0.659 0.896 0.138
O11 0.831 0.072 0.994
O12 0.831 0.428 0.494
F1 0.094 0.739 0.408
F2 0.094 0.761 0.908
F3 0.124 0.580 0.742
F4 0.124 0.920 0.242
F5 0.279 0.579 0.043
F6 0.279 0.921 0.543
F7 0.474 0.700 0.857
F8 0.474 0.800 0.357
F9 0.526 0.200 0.643
F10 0.526 0.300 0.143
F11 0.721 0.079 0.457
F12 0.721 0.421 0.957
F13 0.876 0.080 0.758
F14 0.876 0.420 0.258
F15 0.906 0.239 0.092
F16 0.906 0.261 0.592

Largest 10 diffraction maxima, sorted by position, 10° ≤ 2θ ≤ 80°:
2θ (°)  Rel. int.
21.5  100
22.3  24
23.3  45
25.3  62
30.2  49
31.6  22
32.7  37
36.2  36
37.3  36
40.3  23


No. 9
# NaTi2As3O12
Theoretical powder X-ray diffraction pattern, copper Kα. Input: a DFT-relaxed cell (PBE, the Materials Project).
No peak broadening, texture or thermal motion is included.

Structure:
a = 9.179 Å, b = 9.179 Å, c = 9.179 Å
α = 58.70°, β = 58.70°, γ = 58.70°
Fractional coordinates of all 36 atoms:
Na1 0.000 0.000 0.000
Na2 0.500 0.500 0.500
Ti1 0.143 0.143 0.143
Ti2 0.357 0.357 0.357
Ti3 0.643 0.643 0.643
Ti4 0.857 0.857 0.857
As1 0.037 0.750 0.463
As2 0.250 0.537 0.963
As3 0.463 0.037 0.750
As4 0.537 0.963 0.250
As5 0.750 0.463 0.037
As6 0.963 0.250 0.537
O1 0.004 0.785 0.646
O2 0.058 0.932 0.269
O3 0.068 0.731 0.942
O4 0.146 0.285 0.504
O5 0.215 0.354 0.996
O6 0.231 0.568 0.442
O7 0.269 0.058 0.932
O8 0.285 0.504 0.146
O9 0.354 0.996 0.215
O10 0.432 0.558 0.769
O11 0.442 0.231 0.568
O12 0.496 0.854 0.715
O13 0.504 0.146 0.285
O14 0.558 0.769 0.432
O15 0.568 0.442 0.231
O16 0.646 0.004 0.785
O17 0.715 0.496 0.854
O18 0.731 0.942 0.068
O19 0.769 0.432 0.558
O20 0.785 0.646 0.004
O21 0.854 0.715 0.496
O22 0.932 0.269 0.058
O23 0.942 0.068 0.731
O24 0.996 0.215 0.354

Largest 10 diffraction maxima, sorted by position, 10° ≤ 2θ ≤ 80°:
2θ (°)  Rel. int.
13.8  10
23.0  100
23.5  10
27.8  14
30.6  16
30.9  29
34.5  17
41.0  14
47.0  10
59.0  7


No. 10
# Mg3H6SeO3
Theoretical powder X-ray diffraction pattern, copper Kα. Input: a DFT-relaxed cell (PBE, the Materials Project).
No peak broadening, texture or thermal motion is included.

Structure:
a = 4.162 Å, b = 6.337 Å, c = 7.970 Å
α = 82.68°, β = 83.84°, γ = 76.87°
Fractional coordinates of all 13 atoms:
Mg1 0.000 0.000 0.000
Mg2 0.060 0.910 0.503
Mg3 0.798 0.446 0.212
H1 0.526 0.399 0.626
H2 0.526 0.887 0.657
H3 0.603 0.473 0.669
H4 0.640 0.160 0.423
H5 0.808 0.108 0.731
H6 0.857 0.288 0.021
Se1 0.213 0.691 0.215
O1 0.547 0.883 0.534
O2 0.852 0.202 0.385
O3 0.949 0.967 0.768

Largest 10 diffraction maxima, sorted by position, 10° ≤ 2θ ≤ 80°:
2θ (°)  Rel. int.
11.2  100
14.4  48
17.3  27
19.3  36
22.0  22
23.6  47
25.5  49
32.4  17
36.9  19
44.0  22


No. 11
# Nb3IrS8
Theoretical powder X-ray diffraction pattern, copper Kα. Input: a DFT-relaxed cell (PBE, the Materials Project).
No peak broadening, texture or thermal motion is included.

Structure:
a = 6.725 Å, b = 6.725 Å, c = 13.952 Å
α = 110.73°, β = 110.73°, γ = 60.35°
Fractional coordinates of all 24 atoms:
Nb1 0.143 0.857 0.750
Nb2 0.158 0.367 0.749
Nb3 0.367 0.158 0.249
Nb4 0.633 0.842 0.751
Nb5 0.842 0.633 0.251
Nb6 0.857 0.143 0.250
Ir1 0.416 0.584 0.250
Ir2 0.584 0.416 0.750
S1 0.019 0.723 0.147
S2 0.032 0.752 0.871
S3 0.219 0.485 0.619
S4 0.248 0.968 0.629
S5 0.261 0.536 0.369
S6 0.277 0.981 0.353
S7 0.464 0.739 0.131
S8 0.485 0.219 0.119
S9 0.515 0.781 0.881
S10 0.536 0.261 0.869
S11 0.723 0.019 0.647
S12 0.739 0.464 0.631
S13 0.752 0.032 0.371
S14 0.781 0.515 0.381
S15 0.968 0.248 0.129
S16 0.981 0.277 0.853

Largest 10 diffraction maxima, sorted by position, 10° ≤ 2θ ≤ 80°:
2θ (°)  Rel. int.
13.9  100
15.5  8
30.6  11
33.7  40
34.0  21
41.9  26
42.1  15
42.3  11
53.5  12
54.6  10